Computed X-ray diffraction stick pattern of BaSr2OsO5 for Cu Kα (weighted mean of Kα1 and Kα2), from a crystal structure in Alexandria, relaxed with PBE.
Peak positions follow from Bragg's law for the DFT cell and can differ from measured ones.

Atomic structure:
Unit cell a=7.0069 b=7.0069 c=7.0069 alpha=148.04 beta=128.64 gamma=61.78
Positions (direct):
Ba (0.0000, 0.0000, 0.0000)
Sr (0.2851, 0.7851, 0.5000)
Sr (0.7149, 0.2149, 0.5000)
Os (0.5000, 0.5000, 0.0000)
O (0.1373, 0.3722, 0.7652)
O (0.3930, 0.6278, 0.7652)
O (0.5000, 0.0000, 0.5000)
O (0.6070, 0.3722, 0.2348)
O (0.8627, 0.6278, 0.2348)

Most intense lines, 2θ = 15–90°, low angle first:
Position (°2θ)	I_rel
16.35	15
29.42	27
29.71	19
31.24	100
42.30	26
47.12	12
53.33	22
53.70	12
56.52	9
65.16	14

Computed X-ray diffraction stick pattern of BaTb2OsO8 for Cu Kα (weighted mean of Kα1 and Kα2), from a crystal structure in Alexandria, relaxed with PBE.
Peak positions follow from Bragg's law for the DFT cell and can differ from measured ones.

Atomic structure:
Unit cell a=5.1882 b=7.2339 c=5.1954 alpha=90.00 beta=93.91 gamma=90.00
Positions (direct):
Ba (0.0000, 0.0000, 0.0000)
Tb (0.5000, 0.2375, 0.5000)
Tb (0.5000, 0.7625, 0.5000)
Os (0.0000, 0.5000, 0.0000)
O (0.1895, 0.3166, 0.1877)
O (0.1895, 0.6834, 0.1877)
O (0.2462, 0.5000, 0.7522)
O (0.3290, 0.0000, 0.6678)
O (0.6710, 0.0000, 0.3322)
O (0.7538, 0.5000, 0.2478)
O (0.8105, 0.3166, 0.8123)
O (0.8105, 0.6834, 0.8123)

Most intense lines, 2θ = 15–90°, low angle first:
Position (°2θ)	I_rel
23.45	56
25.13	48
30.14	100
34.64	28
45.58	20
45.61	19
47.50	34
57.19	11
59.31	20
62.65	12

Computed X-ray diffraction stick pattern of Ba2TlOsO5 for Cu Kα (weighted mean of Kα1 and Kα2), from a crystal structure in Alexandria, relaxed with PBE.
Peak positions follow from Bragg's law for the DFT cell and can differ from measured ones.

Atomic structure:
Unit cell a=7.1705 b=7.1705 c=7.1705 alpha=148.15 beta=124.82 gamma=65.13
Positions (direct):
Ba (0.2275, 0.2275, 0.0000)
Ba (0.7725, 0.7725, 0.0000)
Tl (0.5000, 0.0000, 0.5000)
Os (0.0000, 0.5000, 0.5000)
O (0.0000, 0.0000, 0.0000)
O (0.0885, 0.3793, 0.7092)
O (0.3299, 0.6207, 0.7092)
O (0.6701, 0.3793, 0.2908)
O (0.9115, 0.6207, 0.2908)

Most intense lines, 2θ = 15–90°, low angle first:
Position (°2θ)	I_rel
26.85	32
29.56	21
30.26	100
40.36	27
46.14	11
49.60	25
52.89	16
54.19	10
62.94	14
67.19	8

Number 2 is which compound? BaTb2OsO8